The following is a theoretical powder X-ray diffraction pattern of Sr2VO4. It was derived from the GGA+U geometry in the Materials Project, using a wavelength of 1.5418 Å.
Intensities are scaled so that the largest is 100.

Principal peaks in the range 5 to 70 degrees two-theta, most intense first:
(hkl)  2θ (°)  intensity
4 1 1  29.76  100.0
0 1 3  29.24  96.1
4 1 0  28.53  94.1
2 1 3  31.73  69.6
0 2 0  29.94  68.6
6 1 4  53.03  56.6
2 0 3  27.88  42.6
2 1 2  25.47  41.6

Atomic structure:
```
data_Sr2VO4
_chemical_formula_sum 'Sr16 V8 O32'
_space_group_name_H-M_alt 'P n a 21'
_space_group_IT_number 33
_cell_length_a 14.6934
_cell_length_b 5.9689
_cell_length_c 10.6654
_cell_angle_alpha 90.00
_cell_angle_beta 90.00
_cell_angle_gamma 90.00
loop_
_space_group_symop_operation_xyz
'x,y,z'
'-x,-y,z+1/2'
'-x+1/2,y+1/2,z+1/2'
'x+1/2,-y+1/2,z'
loop_
_atom_site_label
_atom_site_type_symbol
_atom_site_fract_x
_atom_site_fract_y
_atom_site_fract_z
Sr1 Sr 0.0256 0.2225 0.1043
Sr2 Sr 0.0958 0.2298 0.7372
Sr3 Sr 0.1482 0.7035 0.3534
Sr4 Sr 0.2072 0.6895 0.0000
V1 V 0.0279 0.2619 0.4418
V2 V 0.2273 0.7771 0.7060
O1 O 0.0156 0.4649 0.8864
O2 O 0.0259 0.0395 0.3274
O3 O 0.0468 0.8226 0.0741
O4 O 0.1341 0.3531 0.5112
O5 O 0.1467 0.8578 0.5861
O6 O 0.1642 0.4062 0.1574
O7 O 0.2030 0.9738 0.8360
O8 O 0.2341 0.5050 0.7827
```